# 1
Simulated XRD peak list
Compound: Ho4Sb3
Radiation: Cu Ka
Structure: a PBE-relaxed structure
Peak positions follow from Bragg's law for the DFT cell and can differ from measured ones.

Unit cell a=7.932 b=7.932 c=7.932 alpha=109.47 beta=109.47 gamma=109.47
Atoms (fractional coordinates):
1 Ho 0.000 0.145 0.500
2 Ho 0.000 0.645 0.500
3 Ho 0.145 0.500 0.000
4 Ho 0.355 0.355 0.355
5 Ho 0.500 0.000 0.145
6 Ho 0.500 0.000 0.645
7 Ho 0.645 0.500 0.000
8 Ho 0.855 0.855 0.855
9 Sb 0.125 0.875 0.250
10 Sb 0.250 0.125 0.875
11 Sb 0.375 0.625 0.750
12 Sb 0.625 0.750 0.375
13 Sb 0.750 0.375 0.625
14 Sb 0.875 0.250 0.125

Largest 6 diffraction maxima, sorted by position, 2θ from 5° to 70°:
2θ (°)  I (rel.)
30.87  100.0
36.71  69.3
48.70  19.0
50.83  23.6
62.51  24.9
66.11  14.8



# 2
Simulated XRD peak list
Compound: Sm4In21Pd10
Radiation: Cu Ka
Structure: a PBE-relaxed structure
Peak positions follow from Bragg's law for the DFT cell and can differ from measured ones.

Unit cell a=11.896 b=11.896 c=17.432 alpha=123.82 beta=123.82 gamma=21.96
Atoms (fractional coordinates):
1 Sm 0.121 0.121 0.334
2 Sm 0.223 0.233 0.825
3 Sm 0.767 0.777 0.175
4 Sm 0.879 0.879 0.666
5 In 0.016 0.011 0.096
6 In 0.071 0.055 0.798
7 In 0.106 0.122 0.551
8 In 0.206 0.195 0.004
9 In 0.252 0.252 0.294
10 In 0.300 0.297 0.498
11 In 0.366 0.373 0.800
12 In 0.381 0.388 0.296
13 In 0.399 0.402 0.005
14 In 0.462 0.455 0.633
15 In 0.499 0.501 0.500
16 In 0.545 0.538 0.367
17 In 0.598 0.601 0.995
18 In 0.612 0.619 0.704
19 In 0.627 0.634 0.200
20 In 0.703 0.700 0.502
21 In 0.748 0.748 0.706
22 In 0.805 0.794 0.996
23 In 0.878 0.894 0.449
24 In 0.945 0.929 0.202
25 In 0.989 0.984 0.904
26 Pd 0.027 0.022 0.611
27 Pd 0.135 0.140 0.106
28 Pd 0.248 0.250 0.614
29 Pd 0.342 0.352 0.115
30 Pd 0.503 0.482 0.810
31 Pd 0.518 0.497 0.190
32 Pd 0.648 0.658 0.885
33 Pd 0.750 0.752 0.386
34 Pd 0.860 0.865 0.894
35 Pd 0.978 0.973 0.389

Largest 6 diffraction maxima, sorted by position, 2θ from 5° to 70°:
2θ (°)  I (rel.)
32.90  54.5
33.73  75.7
33.94  79.1
34.19  74.4
39.79  100.0
42.48  54.8



# 3
Simulated XRD peak list
Compound: KLaCeGeO6
Radiation: Cu Ka
Structure: a PBE-relaxed structure
Peak positions follow from Bragg's law for the DFT cell and can differ from measured ones.

Unit cell a=5.820 b=5.820 c=5.820 alpha=60.00 beta=60.00 gamma=60.00
Atoms (fractional coordinates):
1 K 0.000 0.000 0.000
2 La 0.500 0.500 0.500
3 Ce 0.250 0.250 0.250
4 Ge 0.750 0.750 0.750
5 O 0.518 0.518 0.982
6 O 0.518 0.982 0.518
7 O 0.518 0.982 0.982
8 O 0.982 0.518 0.518
9 O 0.982 0.518 0.982
10 O 0.982 0.982 0.518

Largest 6 diffraction maxima, sorted by position, 2θ from 5° to 70°:
2θ (°)  I (rel.)
18.67  20.1
30.72  100.0
36.19  13.7
44.00  33.0
54.62  39.1
63.99  19.7



# 4
Simulated XRD peak list
Compound: BeB12C2
Radiation: Cu Ka
Structure: a PBE-relaxed structure
Peak positions follow from Bragg's law for the DFT cell and can differ from measured ones.

Unit cell a=5.242 b=5.242 c=5.242 alpha=64.60 beta=64.60 gamma=64.60
Atoms (fractional coordinates):
1 Be 0.000 0.000 0.000
2 B 0.167 0.497 0.497
3 B 0.179 0.697 0.697
4 B 0.303 0.303 0.821
5 B 0.303 0.821 0.303
6 B 0.497 0.167 0.497
7 B 0.497 0.497 0.167
8 B 0.503 0.503 0.833
9 B 0.503 0.833 0.503
10 B 0.697 0.179 0.697
11 B 0.697 0.697 0.179
12 B 0.821 0.303 0.303
13 B 0.833 0.503 0.503
14 C 0.135 0.135 0.135
15 C 0.865 0.865 0.865

Largest 6 diffraction maxima, sorted by position, 2θ from 5° to 70°:
2θ (°)  I (rel.)
21.54  51.0
23.30  25.8
34.38  70.9
37.79  100.0
63.09  33.4
66.80  18.4



# 5
Simulated XRD peak list
Compound: CeSe2
Radiation: Cu Ka
Structure: a PBE-relaxed structure
Peak positions follow from Bragg's law for the DFT cell and can differ from measured ones.

Unit cell a=20.480 b=20.480 c=20.480 alpha=135.84 beta=135.84 gamma=64.22
Atoms (fractional coordinates):
1 Ce 0.102 0.510 0.246
2 Ce 0.102 0.857 0.592
3 Ce 0.143 0.235 0.246
4 Ce 0.143 0.898 0.908
5 Ce 0.235 0.143 0.746
6 Ce 0.235 0.490 0.092
7 Ce 0.490 0.235 0.592
8 Ce 0.490 0.898 0.254
9 Ce 0.510 0.102 0.746
10 Ce 0.510 0.765 0.408
11 Ce 0.765 0.510 0.908
12 Ce 0.765 0.857 0.254
13 Ce 0.857 0.102 0.092
14 Ce 0.857 0.765 0.754
15 Ce 0.898 0.143 0.408
16 Ce 0.898 0.490 0.754
17 Se 0.000 0.221 0.221
18 Se 0.000 0.779 0.779
19 Se 0.082 0.118 0.537
20 Se 0.082 0.545 0.963
21 Se 0.118 0.082 0.037
22 Se 0.133 0.692 0.441
23 Se 0.146 0.396 0.292
24 Se 0.146 0.854 0.750
25 Se 0.221 0.000 0.721
26 Se 0.221 0.500 0.221
27 Se 0.249 0.308 0.941
28 Se 0.308 0.249 0.441
29 Se 0.308 0.867 0.059
30 Se 0.396 0.146 0.792
31 Se 0.396 0.604 0.250
32 Se 0.455 0.918 0.537
33 Se 0.500 0.221 0.721
34 Se 0.500 0.779 0.279
35 Se 0.545 0.082 0.463
36 Se 0.604 0.396 0.750
37 Se 0.604 0.854 0.208
38 Se 0.692 0.133 0.941
39 Se 0.692 0.751 0.559
40 Se 0.751 0.692 0.059
41 Se 0.779 0.000 0.279
42 Se 0.779 0.500 0.779
43 Se 0.854 0.146 0.250
44 Se 0.854 0.604 0.708
45 Se 0.867 0.308 0.559
46 Se 0.882 0.918 0.963
47 Se 0.918 0.455 0.037
48 Se 0.918 0.882 0.463

Largest 6 diffraction maxima, sorted by position, 2θ from 5° to 70°:
2θ (°)  I (rel.)
6.28  35.1
9.57  99.3
11.50  100.0
14.00  37.0
18.92  60.4
30.04  25.9



# 6
Simulated XRD peak list
Compound: B
Radiation: Cu Ka
Structure: a PBE-relaxed structure
Peak positions follow from Bragg's law for the DFT cell and can differ from measured ones.

Unit cell a=5.050 b=5.050 c=5.050 alpha=58.04 beta=58.04 gamma=58.04
Atoms (fractional coordinates):
1 B 0.010 0.010 0.654
2 B 0.010 0.654 0.010
3 B 0.221 0.221 0.630
4 B 0.221 0.630 0.221
5 B 0.346 0.990 0.990
6 B 0.370 0.779 0.779
7 B 0.630 0.221 0.221
8 B 0.654 0.010 0.010
9 B 0.779 0.370 0.779
10 B 0.779 0.779 0.370
11 B 0.990 0.346 0.990
12 B 0.990 0.990 0.346

Largest 6 diffraction maxima, sorted by position, 2θ from 5° to 70°:
2θ (°)  I (rel.)
21.24  54.0
22.11  100.0
35.58  71.4
43.25  60.4
65.34  27.8
69.56  19.8



# 7
Simulated XRD peak list
Compound: Mg7NbH16
Radiation: Cu Ka
Structure: a PBE-relaxed structure
Peak positions follow from Bragg's law for the DFT cell and can differ from measured ones.

Unit cell a=6.629 b=6.629 c=6.629 alpha=60.00 beta=60.00 gamma=60.00
Atoms (fractional coordinates):
1 Mg 0.000 0.000 0.000
2 Mg 0.000 0.000 0.500
3 Mg 0.000 0.500 0.000
4 Mg 0.000 0.500 0.500
5 Mg 0.500 0.000 0.000
6 Mg 0.500 0.000 0.500
7 Mg 0.500 0.500 0.000
8 Nb 0.500 0.500 0.500
9 H 0.128 0.128 0.128
10 H 0.128 0.128 0.617
11 H 0.128 0.617 0.128
12 H 0.140 0.620 0.620
13 H 0.380 0.380 0.380
14 H 0.380 0.380 0.860
15 H 0.380 0.860 0.380
16 H 0.383 0.872 0.872
17 H 0.617 0.128 0.128
18 H 0.620 0.140 0.620
19 H 0.620 0.620 0.140
20 H 0.620 0.620 0.620
21 H 0.860 0.380 0.380
22 H 0.872 0.383 0.872
23 H 0.872 0.872 0.383
24 H 0.872 0.872 0.872

Largest 6 diffraction maxima, sorted by position, 2θ from 5° to 70°:
2θ (°)  I (rel.)
16.38  37.3
31.65  21.8
33.10  100.0
38.41  42.0
55.44  36.0
66.11  37.4



What did the second record say?
Simulated XRD peak list
Compound: Sm4In21Pd10
Radiation: Cu Ka
Structure: a PBE-relaxed structure
Peak positions follow from Bragg's law for the DFT cell and can differ from measured ones.

Unit cell a=11.896 b=11.896 c=17.432 alpha=123.82 beta=123.82 gamma=21.96
Atoms (fractional coordinates):
1 Sm 0.121 0.121 0.334
2 Sm 0.223 0.233 0.825
3 Sm 0.767 0.777 0.175
4 Sm 0.879 0.879 0.666
5 In 0.016 0.011 0.096
6 In 0.071 0.055 0.798
7 In 0.106 0.122 0.551
8 In 0.206 0.195 0.004
9 In 0.252 0.252 0.294
10 In 0.300 0.297 0.498
11 In 0.366 0.373 0.800
12 In 0.381 0.388 0.296
13 In 0.399 0.402 0.005
14 In 0.462 0.455 0.633
15 In 0.499 0.501 0.500
16 In 0.545 0.538 0.367
17 In 0.598 0.601 0.995
18 In 0.612 0.619 0.704
19 In 0.627 0.634 0.200
20 In 0.703 0.700 0.502
21 In 0.748 0.748 0.706
22 In 0.805 0.794 0.996
23 In 0.878 0.894 0.449
24 In 0.945 0.929 0.202
25 In 0.989 0.984 0.904
26 Pd 0.027 0.022 0.611
27 Pd 0.135 0.140 0.106
28 Pd 0.248 0.250 0.614
29 Pd 0.342 0.352 0.115
30 Pd 0.503 0.482 0.810
31 Pd 0.518 0.497 0.190
32 Pd 0.648 0.658 0.885
33 Pd 0.750 0.752 0.386
34 Pd 0.860 0.865 0.894
35 Pd 0.978 0.973 0.389

Largest 6 diffraction maxima, sorted by position, 2θ from 5° to 70°:
2θ (°)  I (rel.)
32.90  54.5
33.73  75.7
33.94  79.1
34.19  74.4
39.79  100.0
42.48  54.8